For MgCo2Ag2O4, a DFT-relaxed cell (GGA+U, the Materials Project) gives the calculated powder X-ray diffraction pattern in this record (Cu Kα, 1.54184 Å).
Peak positions follow from Bragg's law for the DFT cell and can differ from measured ones.

Cell and atoms:
abc: 3.0920 3.0920 14.1662
angles: 90.00 90.00 120.00
Atoms (fractional coordinates):
Mg  0.0000  0.0000  0.0000
Co  0.6667  0.3333  0.3980
Co  0.6667  0.3333  0.8239
Ag  0.0000  0.0000  0.6172
Ag  0.3333  0.6667  0.1722
O  0.0000  0.0000  0.4690
O  0.0000  0.0000  0.7678
O  0.3333  0.6667  0.3286
O  0.3333  0.6667  0.9396

Main lines, in order of rising 2θ (2θ from 15° to 90°):
2θ = 25.1°, rel. 29
2θ = 31.6°, rel. 39
2θ = 34.1°, rel. 100
2θ = 35.9°, rel. 91
2θ = 38.7°, rel. 58
2θ = 46.7°, rel. 27
2θ = 51.6°, rel. 24
2θ = 57.0°, rel. 30
2θ = 59.8°, rel. 39
2θ = 69.2°, rel. 23

For K2BiMoPO8, a DFT-relaxed cell (GGA+U, the Materials Project) gives the calculated powder X-ray diffraction pattern in this record (Cu Kα, 1.54184 Å).
Peak positions follow from Bragg's law for the DFT cell and can differ from measured ones.

Cell and atoms:
abc: 12.3545 12.3545 12.3545
angles: 146.36 118.76 71.72
Atoms (fractional coordinates):
K  0.0764  0.6883  0.4536
K  0.2348  0.1883  0.1119
K  0.2652  0.3772  0.9536
K  0.4236  0.8772  0.6119
K  0.5764  0.1228  0.3881
K  0.7348  0.6228  0.0464
K  0.7652  0.8117  0.8881
K  0.9236  0.3117  0.5464
Bi  0.1703  0.7500  0.9203
Bi  0.3297  0.2500  0.5797
Bi  0.6703  0.7500  0.4203
Bi  0.8297  0.2500  0.0797
Mo  0.0821  0.8321  0.2500
Mo  0.4179  0.6679  0.7500
Mo  0.5821  0.3321  0.2500
Mo  0.9179  0.1679  0.7500
P  0.0729  0.2500  0.3229
P  0.4271  0.7500  0.1771
P  0.5729  0.2500  0.8229
P  0.9271  0.7500  0.6771
O  0.0614  0.3382  0.2764
O  0.0618  0.8382  0.7768
O  0.0802  0.1584  0.8022
O  0.1000  0.6798  0.0140
O  0.1396  0.4068  0.5689
O  0.1438  0.7220  0.3022
O  0.1621  0.0932  0.2328
O  0.1658  0.0861  0.4860
O  0.3342  0.8202  0.9203
O  0.3379  0.5707  0.9311
O  0.3562  0.6584  0.5782
O  0.3604  0.9293  0.2672
O  0.4000  0.4139  0.5797
O  0.4198  0.2220  0.0782
O  0.4382  0.2150  0.7764
O  0.4386  0.7150  0.2768
O  0.5614  0.2850  0.7232
O  0.5618  0.7850  0.2236
O  0.5802  0.7780  0.9218
O  0.6000  0.5861  0.4203
O  0.6396  0.0707  0.7328
O  0.6438  0.3416  0.4218
O  0.6621  0.4293  0.0689
O  0.6658  0.1798  0.0797
O  0.8342  0.9139  0.5140
O  0.8379  0.9068  0.7672
O  0.8562  0.2780  0.6978
O  0.8604  0.5932  0.4311
O  0.9000  0.3202  0.9860
O  0.9198  0.8416  0.1978
O  0.9382  0.1618  0.2232
O  0.9386  0.6618  0.7236

Main lines, in order of rising 2θ (2θ from 15° to 90°):
2θ = 19.3°, rel. 56
2θ = 23.1°, rel. 47
2θ = 26.2°, rel. 45
2θ = 26.5°, rel. 100
2θ = 26.7°, rel. 63
2θ = 30.7°, rel. 43
2θ = 31.4°, rel. 57
2θ = 33.9°, rel. 33
2θ = 44.1°, rel. 33
2θ = 44.6°, rel. 28

For TiNi3P4O16, a DFT-relaxed cell (GGA+U, the Materials Project) gives the calculated powder X-ray diffraction pattern in this record (Cu Kα, 1.54184 Å).
Peak positions follow from Bragg's law for the DFT cell and can differ from measured ones.

Cell and atoms:
abc: 4.8740 5.8888 9.9586
angles: 90.00 91.15 90.00
Atoms (fractional coordinates):
Ti  0.0000  0.0000  0.0000
Ni  0.4187  0.0000  0.4954
Ni  0.5061  0.5000  0.0424
Ni  0.9172  0.5000  0.5530
P  0.0427  0.5000  0.8669
P  0.3711  0.5000  0.3710
P  0.5789  0.0000  0.1779
P  0.8794  0.0000  0.6739
O  0.1391  0.5000  0.7212
O  0.1819  0.2932  0.9456
O  0.1819  0.7068  0.9456
O  0.1888  0.0000  0.6578
O  0.2298  0.2947  0.4407
O  0.2298  0.7053  0.4407
O  0.2689  0.0000  0.1414
O  0.3172  0.5000  0.2196
O  0.6336  0.0000  0.3259
O  0.6859  0.5000  0.3901
O  0.7255  0.1999  0.1008
O  0.7255  0.8001  0.1008
O  0.7299  0.2061  0.6068
O  0.7299  0.7939  0.6068
O  0.7346  0.5000  0.8800
O  0.8234  0.0000  0.8285

Main lines, in order of rising 2θ (2θ from 15° to 90°):
2θ = 17.8°, rel. 99
2θ = 20.1°, rel. 54
2θ = 20.5°, rel. 64
2θ = 23.4°, rel. 29
2θ = 25.2°, rel. 70
2θ = 25.5°, rel. 68
2θ = 30.4°, rel. 100
2θ = 35.8°, rel. 69
2θ = 36.4°, rel. 63
2θ = 48.5°, rel. 28

For Mg2Ni3O8, a DFT-relaxed cell (GGA+U, the Materials Project) gives the calculated powder X-ray diffraction pattern in this record (Cu Kα, 1.54184 Å).
Peak positions follow from Bragg's law for the DFT cell and can differ from measured ones.

Cell and atoms:
abc: 5.7295 5.7295 9.1696
angles: 90.00 90.00 120.00
Atoms (fractional coordinates):
Mg  0.3333  0.6667  0.0000
Mg  0.3333  0.6667  0.3914
Mg  0.6667  0.3333  0.5000
Mg  0.6667  0.3333  0.8914
Ni  0.1648  0.3297  0.7197
Ni  0.1648  0.8352  0.7197
Ni  0.3297  0.1648  0.2197
Ni  0.6703  0.8352  0.7197
Ni  0.8352  0.1648  0.2197
Ni  0.8352  0.6703  0.2197
O  0.0000  0.0000  0.3227
O  0.0000  0.0000  0.8227
O  0.0385  0.5192  0.8360
O  0.1563  0.3125  0.1154
O  0.1563  0.8437  0.1154
O  0.3125  0.1563  0.6154
O  0.3333  0.6667  0.6131
O  0.4808  0.5192  0.8360
O  0.4808  0.9615  0.8360
O  0.5192  0.0385  0.3360
O  0.5192  0.4808  0.3360
O  0.6667  0.3333  0.1131
O  0.6875  0.8437  0.1154
O  0.8437  0.1563  0.6154
O  0.8437  0.6875  0.6154
O  0.9615  0.4808  0.3360

Main lines, in order of rising 2θ (2θ from 15° to 90°):
2θ = 19.4°, rel. 100
2θ = 20.4°, rel. 36
2θ = 26.5°, rel. 28
2θ = 34.5°, rel. 28
2θ = 37.0°, rel. 33
2θ = 37.6°, rel. 64
2θ = 41.4°, rel. 31
2θ = 47.2°, rel. 45
2θ = 63.0°, rel. 39
2θ = 65.1°, rel. 33

For MgCr2O4, a DFT-relaxed cell (GGA+U, the Materials Project) gives the calculated powder X-ray diffraction pattern in this record (Cu Kα, 1.54184 Å).
Peak positions follow from Bragg's law for the DFT cell and can differ from measured ones.

Cell and atoms:
abc: 3.0264 3.0329 9.7750
angles: 89.91 81.36 60.09
Atoms (fractional coordinates):
Mg  0.0000  0.0000  0.0000
Cr  0.4976  0.7503  0.2643
Cr  0.5024  0.2497  0.7357
O  0.2260  0.8876  0.6487
O  0.2531  0.3732  0.1249
O  0.7469  0.6268  0.8751
O  0.7740  0.1124  0.3513

Main lines, in order of rising 2θ (2θ from 15° to 90°):
2θ = 18.4°, rel. 100
2θ = 27.8°, rel. 17
2θ = 34.7°, rel. 43
2θ = 36.5°, rel. 18
2θ = 42.5°, rel. 47
2θ = 42.6°, rel. 92
2θ = 61.1°, rel. 28
2θ = 61.3°, rel. 14
2θ = 62.2°, rel. 11
2θ = 62.4°, rel. 10

For MgV4O5F7, a DFT-relaxed cell (GGA+U, the Materials Project) gives the calculated powder X-ray diffraction pattern in this record (Cu Kα, 1.54184 Å).
Peak positions follow from Bragg's law for the DFT cell and can differ from measured ones.

Cell and atoms:
abc: 5.1097 5.3286 7.6400
angles: 94.26 90.68 90.11
Atoms (fractional coordinates):
Mg  0.0000  0.0000  0.0000
V  0.4828  0.9204  0.2989
V  0.4862  0.9100  0.7803
V  0.9666  0.4267  0.2718
V  0.9816  0.4200  0.7788
O  0.1631  0.7162  0.8454
O  0.1894  0.0882  0.2269
O  0.7639  0.7273  0.3269
O  0.8075  0.1220  0.7646
O  0.8957  0.4011  0.0502
F  0.0848  0.4198  0.5322
F  0.2879  0.2176  0.8627
F  0.2896  0.6020  0.2414
F  0.3661  0.9384  0.5419
F  0.6212  0.9066  0.0348
F  0.6659  0.5931  0.7145
F  0.6732  0.2351  0.3543

Main lines, in order of rising 2θ (2θ from 15° to 90°):
2θ = 23.4°, rel. 51
2θ = 24.2°, rel. 100
2θ = 32.8°, rel. 14
2θ = 33.1°, rel. 14
2θ = 33.7°, rel. 15
2θ = 40.7°, rel. 15
2θ = 47.8°, rel. 13
2θ = 49.4°, rel. 11
2θ = 49.6°, rel. 12
2θ = 54.9°, rel. 10

For BaMn2Fe4O11, a DFT-relaxed cell (GGA+U, the Materials Project) gives the calculated powder X-ray diffraction pattern in this record (Cu Kα, 1.54184 Å).
Peak positions follow from Bragg's law for the DFT cell and can differ from measured ones.

Cell and atoms:
abc: 5.8890 5.8890 13.6177
angles: 90.02 90.02 119.87
Atoms (fractional coordinates):
Ba  0.1670  0.8330  0.5000
Ba  0.8330  0.1670  0.0000
Mn  0.0011  0.5028  0.7525
Mn  0.0010  0.9985  0.7525
Mn  0.5028  0.0011  0.2525
Mn  0.9985  0.0010  0.2525
Fe  0.1666  0.8342  0.0212
Fe  0.4938  0.4971  0.6075
Fe  0.4971  0.4938  0.1075
Fe  0.4977  0.9990  0.7524
Fe  0.5029  0.5061  0.3968
Fe  0.5061  0.5029  0.8968
Fe  0.8342  0.1666  0.5212
Fe  0.9990  0.4977  0.2524
O  0.1482  0.3244  0.8286
O  0.1503  0.3151  0.1741
O  0.1512  0.8255  0.8289
O  0.1732  0.8471  0.1740
O  0.1984  0.3495  0.5007
O  0.3151  0.1503  0.6741
O  0.3148  0.6653  0.6738
O  0.3244  0.1482  0.3286
O  0.3352  0.6844  0.3301
O  0.3495  0.1984  0.0007
O  0.3488  0.6509  0.0038
O  0.6505  0.8009  0.5065
O  0.6509  0.3488  0.5038
O  0.6653  0.3148  0.1738
O  0.6764  0.8528  0.1757
O  0.6844  0.3352  0.8301
O  0.6841  0.8493  0.8301
O  0.8009  0.6505  0.0065
O  0.8255  0.1512  0.3289
O  0.8471  0.1732  0.6740
O  0.8493  0.6841  0.3301
O  0.8528  0.6764  0.6757

Main lines, in order of rising 2θ (2θ from 15° to 90°):
2θ = 26.2°, rel. 35
2θ = 30.3°, rel. 53
2θ = 31.6°, rel. 95
2θ = 33.1°, rel. 100
2θ = 37.6°, rel. 52
2θ = 40.6°, rel. 26
2θ = 54.0°, rel. 22
2θ = 54.1°, rel. 39
2θ = 54.7°, rel. 30
2θ = 63.2°, rel. 28

For Sr4MgMn2Cu2S2O6, a DFT-relaxed cell (GGA+U, the Materials Project) gives the calculated powder X-ray diffraction pattern in this record (Cu Kα, 1.54184 Å).
Peak positions follow from Bragg's law for the DFT cell and can differ from measured ones.

Cell and atoms:
abc: 3.9477 3.9477 18.8798
angles: 90.00 90.00 90.00
Atoms (fractional coordinates):
Sr  0.0000  0.0000  0.0000
Sr  0.0000  0.0000  0.1943
Sr  0.5000  0.5000  0.3351
Sr  0.5000  0.5000  0.5288
Mg  0.0000  0.0000  0.8052
Mn  0.0000  0.0000  0.4302
Mn  0.5000  0.5000  0.0960
Cu  0.0000  0.5000  0.6920
Cu  0.5000  0.0000  0.6920
S  0.0000  0.0000  0.6208
S  0.5000  0.5000  0.7761
O  0.0000  0.0000  0.3207
O  0.0000  0.5000  0.0719
O  0.0000  0.5000  0.4490
O  0.5000  0.0000  0.0719
O  0.5000  0.0000  0.4490
O  0.5000  0.5000  0.2045

Main lines, in order of rising 2θ (2θ from 15° to 90°):
2θ = 29.5°, rel. 60
2θ = 32.1°, rel. 47
2θ = 32.4°, rel. 40
2θ = 32.8°, rel. 100
2θ = 37.4°, rel. 20
2θ = 40.2°, rel. 43
2θ = 46.0°, rel. 69
2θ = 54.7°, rel. 28
2θ = 57.6°, rel. 39
2θ = 67.1°, rel. 21

For FeOF, a DFT-relaxed cell (GGA+U, the Materials Project) gives the calculated powder X-ray diffraction pattern in this record (Cu Kα, 1.54184 Å).
Peak positions follow from Bragg's law for the DFT cell and can differ from measured ones.

Cell and atoms:
abc: 9.4225 3.0356 14.1320
angles: 90.00 90.67 90.00
Atoms (fractional coordinates):
Fe  0.0000  0.0000  0.0000
Fe  0.9996  0.0000  0.3315
Fe  0.2074  0.5000  0.8316
Fe  0.2196  0.5000  0.1620
Fe  0.2221  0.5000  0.4895
Fe  0.4739  0.0000  0.0125
Fe  0.4940  0.0000  0.6704
Fe  0.5048  0.0000  0.3266
Fe  0.6930  0.5000  0.8476
Fe  0.7143  0.5000  0.1620
Fe  0.7783  0.5000  0.4956
Fe  0.9749  0.0000  0.6735
O  0.0746  0.5000  0.9367
O  0.0837  0.5000  0.2694
O  0.1289  0.0000  0.7670
O  0.1348  0.0000  0.1063
O  0.1385  0.0000  0.4269
O  0.3811  0.5000  0.0686
O  0.5606  0.5000  0.9473
O  0.5919  0.5000  0.2733
O  0.6212  0.0000  0.1017
O  0.6241  0.0000  0.7763
O  0.8436  0.0000  0.5666
O  0.9046  0.5000  0.3926
F  0.0896  0.5000  0.6016
F  0.3292  0.0000  0.9021
F  0.3332  0.0000  0.2398
F  0.3342  0.0000  0.5659
F  0.3780  0.5000  0.7306
F  0.3972  0.5000  0.4052
F  0.5838  0.5000  0.5974
F  0.6451  0.0000  0.4378
F  0.8188  0.0000  0.9098
F  0.8416  0.0000  0.2307
F  0.8724  0.5000  0.7434
F  0.8799  0.5000  0.0686

Main lines, in order of rising 2θ (2θ from 15° to 90°):
2θ = 26.6°, rel. 89
2θ = 26.9°, rel. 90
2θ = 35.2°, rel. 100
2θ = 40.1°, rel. 17
2θ = 40.3°, rel. 16
2θ = 52.7°, rel. 47
2θ = 53.1°, rel. 50
2θ = 55.5°, rel. 15
2θ = 61.1°, rel. 17
2θ = 67.1°, rel. 31